(1)
Structure and calculated powder diffraction line list of Sr6Mg23 (DFT lattice parameters and positions (GGA-PBE); CuKα).
Lines closer than 0.1° are merged.

Main lines, low angle first (2θ from 10° to 90°):
2theta, I (rel.)
20.6, 40
23.9, 26
26.0, 31
29.3, 38
31.1, 100
34.0, 100
43.3, 23
50.0, 25
52.0, 30
64.6, 23

Structural model:
Unit cell a=10.5506 b=10.5506 c=10.5506 alpha=60.00 beta=60.00 gamma=60.00
Element x y z (fractional)
Sr (0.2072, 0.2072, 0.7928)
Sr (0.2072, 0.7928, 0.2072)
Sr (0.2072, 0.7928, 0.7928)
Sr (0.7928, 0.2072, 0.2072)
Sr (0.7928, 0.2072, 0.7928)
Sr (0.7928, 0.7928, 0.2072)
Mg (0.0000, 0.0000, 0.5000)
Mg (0.0000, 0.5000, 0.0000)
Mg (0.0000, 0.5000, 0.5000)
Mg (0.1337, 0.6221, 0.6221)
Mg (0.1746, 0.1746, 0.1746)
Mg (0.1746, 0.1746, 0.4763)
Mg (0.1746, 0.4763, 0.1746)
Mg (0.3779, 0.3779, 0.3779)
Mg (0.3779, 0.3779, 0.8663)
Mg (0.3779, 0.8663, 0.3779)
Mg (0.4763, 0.1746, 0.1746)
Mg (0.5000, 0.0000, 0.0000)
Mg (0.5000, 0.0000, 0.5000)
Mg (0.5000, 0.5000, 0.0000)
Mg (0.5000, 0.5000, 0.5000)
Mg (0.5237, 0.8254, 0.8254)
Mg (0.6221, 0.1337, 0.6221)
Mg (0.6221, 0.6221, 0.1337)
Mg (0.6221, 0.6221, 0.6221)
Mg (0.8254, 0.5237, 0.8254)
Mg (0.8254, 0.8254, 0.5237)
Mg (0.8254, 0.8254, 0.8254)
Mg (0.8663, 0.3779, 0.3779)

(2)
Structure and calculated powder diffraction line list of Sr3Mg (DFT lattice parameters and positions (GGA-PBE); CuKα).
Lines closer than 0.1° are merged.

Main lines, low angle first (2θ from 10° to 90°):
2theta, I (rel.)
21.5, 17
24.4, 31
25.5, 18
28.4, 100
28.9, 15
43.0, 24
44.2, 20
52.3, 18
52.6, 16
70.0, 15

Structural model:
Unit cell a=4.2078 b=4.2078 c=12.3733 alpha=90.00 beta=90.00 gamma=120.00
Element x y z (fractional)
Sr (0.0000, 0.0000, 0.0000)
Sr (0.3333, 0.6667, 0.2847)
Sr (0.3333, 0.6667, 0.7153)
Mg (0.0000, 0.0000, 0.5000)

(3)
Structure and calculated powder diffraction line list of SrMg (DFT lattice parameters and positions (GGA-PBE); CuKα).
Lines closer than 0.1° are merged.

Main lines, low angle first (2θ from 10° to 90°):
2theta, I (rel.)
20.8, 41
22.2, 18
29.2, 22
29.9, 29
30.6, 100
32.9, 11
42.3, 16
50.2, 14
52.6, 11
53.5, 20

Structural model:
Unit cell a=5.9812 b=4.0095 c=6.1168 alpha=90.00 beta=90.00 gamma=90.00
Element x y z (fractional)
Sr (0.2500, 0.0000, 0.2126)
Sr (0.7500, 0.0000, 0.7874)
Mg (0.2500, 0.5000, 0.6895)
Mg (0.7500, 0.5000, 0.3105)

(4)
Structure and calculated powder diffraction line list of SrMg2 (DFT lattice parameters and positions (GGA-PBE); CuKα).
Lines closer than 0.1° are merged.

Main lines, low angle first (2θ from 10° to 90°):
2theta, I (rel.)
11.8, 13
17.8, 19
25.4, 48
28.1, 24
31.2, 100
44.6, 16
44.7, 25
55.5, 19
58.7, 13
73.9, 16

Structural model:
Unit cell a=4.0521 b=4.0521 c=14.9577 alpha=90.00 beta=90.00 gamma=120.00
Element x y z (fractional)
Sr (0.0000, 0.0000, 0.1821)
Sr (0.0000, 0.0000, 0.8179)
Mg (0.0000, 0.0000, 0.5000)
Mg (0.3333, 0.6667, 0.0000)
Mg (0.3333, 0.6667, 0.3671)
Mg (0.3333, 0.6667, 0.6329)

(5)
Structure and calculated powder diffraction line list of Sr3Mg (DFT lattice parameters and positions (GGA-PBE); CuKα).
Lines closer than 0.1° are merged.

Main lines, low angle first (2θ from 10° to 90°):
2theta, I (rel.)
15.7, 13
22.3, 11
27.3, 100
31.7, 51
45.4, 37
53.8, 44
56.4, 13
73.0, 18
75.2, 16
83.9, 12

Structural model:
Unit cell a=5.6502 b=5.6502 c=5.6502 alpha=90.00 beta=90.00 gamma=90.00
Element x y z (fractional)
Sr (0.0000, 0.0000, 0.5000)
Sr (0.0000, 0.5000, 0.0000)
Sr (0.5000, 0.0000, 0.0000)
Mg (0.5000, 0.5000, 0.5000)

(6)
Structure and calculated powder diffraction line list of SrMg (DFT lattice parameters and positions (GGA-PBE); CuKα).
Lines closer than 0.1° are merged.

Main lines, low angle first (2θ from 10° to 90°):
2theta, I (rel.)
15.0, 23
21.3, 36
22.3, 51
27.8, 57
29.6, 100
30.3, 26
30.4, 50
31.8, 89
41.7, 38
59.7, 20

Structural model:
Unit cell a=5.8723 b=10.8263 c=7.0490 alpha=90.00 beta=90.00 gamma=90.00
Element x y z (fractional)
Sr (0.0000, 0.0000, 0.0000)
Sr (0.0000, 0.5000, 0.5000)
Sr (0.5000, 0.1838, 0.2675)
Sr (0.5000, 0.3162, 0.7675)
Sr (0.5000, 0.6838, 0.7675)
Sr (0.5000, 0.8162, 0.2675)
Mg (0.0000, 0.1500, 0.5489)
Mg (0.0000, 0.3500, 0.0489)
Mg (0.0000, 0.6500, 0.0489)
Mg (0.0000, 0.8500, 0.5489)
Mg (0.5000, 0.0000, 0.7002)
Mg (0.5000, 0.5000, 0.2002)

(7)
Structure and calculated powder diffraction line list of SrMg2 (DFT lattice parameters and positions (GGA-PBE); CuKα).
Lines closer than 0.1° are merged.

Main lines, low angle first (2θ from 10° to 90°):
2theta, I (rel.)
25.4, 31
27.3, 38
28.0, 45
31.2, 40
31.5, 100
34.1, 59
41.9, 23
53.6, 22
55.8, 19
58.7, 20

Structural model:
Unit cell a=3.9220 b=17.7658 c=5.7259 alpha=90.00 beta=90.00 gamma=90.00
Element x y z (fractional)
Sr (0.0000, 0.2118, 0.2500)
Sr (0.0000, 0.7882, 0.7500)
Sr (0.5000, 0.2882, 0.7500)
Sr (0.5000, 0.7118, 0.2500)
Mg (0.0000, 0.0942, 0.7500)
Mg (0.0000, 0.4546, 0.7500)
Mg (0.0000, 0.5454, 0.2500)
Mg (0.0000, 0.9058, 0.2500)
Mg (0.5000, 0.0454, 0.2500)
Mg (0.5000, 0.4058, 0.2500)
Mg (0.5000, 0.5942, 0.7500)
Mg (0.5000, 0.9546, 0.7500)

(8)
Structure and calculated powder diffraction line list of SrMg3 (DFT lattice parameters and positions (GGA-PBE); CuKα).
Lines closer than 0.1° are merged.

Main lines, low angle first (2θ from 10° to 90°):
2theta, I (rel.)
14.0, 27
16.3, 28
21.6, 39
29.3, 38
32.9, 94
33.7, 100
44.6, 23
59.3, 19
61.8, 19
63.4, 27

Structural model:
Unit cell a=3.4819 b=5.4448 c=6.3034 alpha=90.00 beta=90.00 gamma=90.00
Element x y z (fractional)
Sr (0.0000, 0.0000, 0.0000)
Mg (0.0000, 0.5000, 0.6468)
Mg (0.5000, 0.0000, 0.4946)
Mg (0.5000, 0.5000, 0.2116)

(9)
Structure and calculated powder diffraction line list of SrMg3 (DFT lattice parameters and positions (GGA-PBE); CuKα).
Lines closer than 0.1° are merged.

Main lines, low angle first (2θ from 10° to 90°):
2theta, I (rel.)
20.1, 50
22.6, 19
32.1, 56
33.5, 100
38.2, 20
46.1, 20
58.2, 39
60.8, 17
70.4, 11
76.4, 9

Structural model:
Unit cell a=5.5722 b=5.5722 c=7.2845 alpha=90.00 beta=90.00 gamma=90.00
Element x y z (fractional)
Sr (0.0000, 0.0000, 0.0000)
Sr (0.5000, 0.5000, 0.5000)
Mg (0.0000, 0.0000, 0.5000)
Mg (0.0000, 0.5000, 0.2500)
Mg (0.0000, 0.5000, 0.7500)
Mg (0.5000, 0.0000, 0.2500)
Mg (0.5000, 0.0000, 0.7500)
Mg (0.5000, 0.5000, 0.0000)

(10)
Structure and calculated powder diffraction line list of SrMg (DFT lattice parameters and positions (GGA-PBE); CuKα).
Lines closer than 0.1° are merged.

Main lines, low angle first (2θ from 10° to 90°):
2theta, I (rel.)
16.9, 28
23.4, 50
25.2, 39
27.2, 31
28.9, 44
29.6, 52
29.9, 100
31.1, 96
37.6, 18
43.1, 27

Structural model:
Unit cell a=13.3248 b=3.9892 c=6.0504 alpha=90.00 beta=112.10 gamma=90.00
Element x y z (fractional)
Sr (0.1054, 0.0000, 0.3293)
Sr (0.3946, 0.5000, 0.6707)
Sr (0.6054, 0.5000, 0.3293)
Sr (0.8946, 0.0000, 0.6707)
Mg (0.1565, 0.5000, 0.8756)
Mg (0.3435, 0.0000, 0.1244)
Mg (0.6565, 0.0000, 0.8756)
Mg (0.8435, 0.5000, 0.1244)

(11)
Structure and calculated powder diffraction line list of SrMg (DFT lattice parameters and positions (GGA-PBE); CuKα).
Lines closer than 0.1° are merged.

Main lines, low angle first (2θ from 10° to 90°):
2theta, I (rel.)
16.0, 35
25.8, 35
27.4, 100
32.4, 21
33.3, 60
37.2, 13
44.4, 26
51.1, 17
52.9, 16
56.0, 26

Structural model:
Unit cell a=4.0836 b=4.0836 c=16.5672 alpha=90.00 beta=90.00 gamma=120.00
Element x y z (fractional)
Sr (0.0000, 0.0000, 0.0000)
Sr (0.3333, 0.6667, 0.6667)
Sr (0.6667, 0.3333, 0.3333)
Mg (0.0000, 0.0000, 0.5000)
Mg (0.3333, 0.6667, 0.1667)
Mg (0.6667, 0.3333, 0.8333)

(12)
Structure and calculated powder diffraction line list of SrMg2 (DFT lattice parameters and positions (GGA-PBE); CuKα).
Lines closer than 0.1° are merged.

Main lines, low angle first (2θ from 10° to 90°):
2theta, I (rel.)
10.5, 49
21.1, 18
27.7, 25
28.2, 30
31.8, 22
32.0, 100
49.0, 20
56.9, 17
59.6, 21
59.8, 16

Structural model:
Unit cell a=3.7163 b=3.7163 c=16.8646 alpha=90.00 beta=90.00 gamma=120.00
Element x y z (fractional)
Sr (0.3333, 0.6667, 0.2500)
Sr (0.6667, 0.3333, 0.7500)
Mg (0.3333, 0.6667, 0.5736)
Mg (0.3333, 0.6667, 0.9264)
Mg (0.6667, 0.3333, 0.0736)
Mg (0.6667, 0.3333, 0.4264)

(13)
Structure and calculated powder diffraction line list of SrMg7 (DFT lattice parameters and positions (GGA-PBE); CuKα).
Lines closer than 0.1° are merged.

Main lines, low angle first (2θ from 10° to 90°):
2theta, I (rel.)
15.1, 23
22.6, 25
30.4, 28
33.8, 24
34.9, 100
46.1, 17
54.0, 18
61.2, 19
65.3, 20
65.9, 14

Structural model:
Unit cell a=6.7919 b=6.7919 c=5.2997 alpha=90.00 beta=90.00 gamma=120.00
Element x y z (fractional)
Sr (0.0000, 0.0000, 0.0000)
Mg (0.0076, 0.5038, 0.0000)
Mg (0.1745, 0.3489, 0.5000)
Mg (0.1745, 0.8255, 0.5000)
Mg (0.4962, 0.5038, 0.0000)
Mg (0.4962, 0.9924, 0.0000)
Mg (0.6511, 0.8255, 0.5000)
Mg (0.6667, 0.3333, 0.5000)

(14)
Structure and calculated powder diffraction line list of SrMg (DFT lattice parameters and positions (GGA-PBE); CuKα).
Lines closer than 0.1° are merged.

Main lines, low angle first (2θ from 10° to 90°):
2theta, I (rel.)
22.0, 56
25.5, 100
36.3, 78
42.9, 29
44.9, 28
52.3, 13
57.4, 12
59.0, 37
65.3, 27
82.7, 17

Structural model:
Unit cell a=6.9990 b=6.9990 c=6.9990 alpha=90.00 beta=90.00 gamma=90.00
Element x y z (fractional)
Sr (0.0000, 0.0000, 0.0000)
Sr (0.0000, 0.5000, 0.5000)
Sr (0.5000, 0.0000, 0.5000)
Sr (0.5000, 0.5000, 0.0000)
Mg (0.0000, 0.0000, 0.5000)
Mg (0.0000, 0.5000, 0.0000)
Mg (0.5000, 0.0000, 0.0000)
Mg (0.5000, 0.5000, 0.5000)

(15)
Structure and calculated powder diffraction line list of SrMg2 (DFT lattice parameters and positions (GGA-PBE); CuKα).
Lines closer than 0.1° are merged.

Main lines, low angle first (2θ from 10° to 90°):
2theta, I (rel.)
16.9, 27
27.7, 77
32.6, 100
49.0, 31
52.2, 34
57.3, 24
64.8, 14
67.5, 12
78.7, 16
81.2, 21

Structural model:
Unit cell a=6.4365 b=6.4365 c=6.4365 alpha=60.00 beta=60.00 gamma=60.00
Element x y z (fractional)
Sr (0.1250, 0.1250, 0.1250)
Sr (0.8750, 0.8750, 0.8750)
Mg (0.0000, 0.5000, 0.5000)
Mg (0.5000, 0.0000, 0.5000)
Mg (0.5000, 0.5000, 0.0000)
Mg (0.5000, 0.5000, 0.5000)